Record 1
Computed powder X-ray diffraction pattern of RbSbTe4 for Cu Kα (weighted mean of Kα1 and Kα2), from DFT lattice parameters and positions (PBE).
Peak positions follow from Bragg's law for the DFT cell and can differ from measured ones.

Cell and atoms:
Cell lengths 9.797, 9.797, 6.581 Å; angles 97.96, 97.96, 54.65 degrees
Sites, in units of the cell vectors:
Rb  0.182  0.182  0.227
Rb  0.818  0.818  0.773
Sb  0.420  0.420  0.699
Sb  0.580  0.580  0.301
Te  0.153  0.696  0.390
Te  0.249  0.751  0.000
Te  0.269  0.269  0.763
Te  0.304  0.847  0.610
Te  0.696  0.153  0.390
Te  0.731  0.731  0.237
Te  0.751  0.249  0.000
Te  0.847  0.304  0.610

Main lines, sorted by position (10 to 90 degrees two-theta):
10.29°, I 48.8
22.31°, I 100.0
27.08°, I 60.5
27.79°, I 40.9
34.03°, I 53.0
37.73°, I 43.3

***

Record 2
Computed powder X-ray diffraction pattern of Nd6Bi5 for Cu Kα (weighted mean of Kα1 and Kα2), from DFT lattice parameters and positions (PBE).
Peak positions follow from Bragg's law for the DFT cell and can differ from measured ones.

Cell and atoms:
Cell lengths 7.887, 7.887, 7.931 Å; angles 99.61, 99.61, 119.92 degrees
Sites, in units of the cell vectors:
Nd  0.082  0.416  0.248
Nd  0.250  0.250  0.745
Nd  0.416  0.082  0.248
Nd  0.584  0.918  0.752
Nd  0.750  0.750  0.255
Nd  0.918  0.584  0.752
Bi  0.169  0.831  0.500
Bi  0.334  0.666  0.000
Bi  0.500  0.500  0.500
Bi  0.666  0.334  0.000
Bi  0.831  0.169  0.500

Main lines, sorted by position (10 to 90 degrees two-theta):
27.65°, I 100.0
39.42°, I 39.4
39.57°, I 39.0
48.95°, I 21.3
64.52°, I 12.6
71.69°, I 16.2